(1)
This entry pairs a crystal structure of HoWC with its simulated powder XRD pattern. Radiation: λ = 1.5418 Å (Cu Kα). Structure: a crystal structure in Alexandria, relaxed with GGA-PBE.
Lines closer than 0.1° are merged.

Peak list (8 most intense, 2θ = 15–90°, low angle first)
d (Å)  Rel. int.
2.828  59.9
2.801  99.5
2.752  100.0
2.515  75.3
2.273  73.9
2.227  60.0
1.972  48.1
1.933  40.8

Atomic structure:
a = 9.536 Å, b = 11.006 Å, c = 7.024 Å
α = 90.00°, β = 90.00°, γ = 90.00°
Space group Fdd2 (No. 43)
Asymmetric unit:
Ho 0.124 0.125 0.000
W 0.000 0.129 0.376
C 0.080 0.250 0.626

=====

(2)
This entry pairs a crystal structure of Pr5DyYEr2 with its simulated powder XRD pattern. Radiation: λ = 1.5418 Å (Cu Kα). Structure: a crystal structure in Alexandria, relaxed with GGA-PBE.
Lines closer than 0.1° are merged.

Peak list (8 most intense, 2θ = 15–90°, low angle first)
d (Å)  Rel. int.
3.390  7.8
3.282  11.0
2.993  24.8
2.834  100.0
2.684  11.1
1.947  8.7
1.635  14.3
1.532  8.8

Atomic structure:
a = 5.660 Å, b = 20.686 Å, c = 10.734 Å
α = 90.00°, β = 90.00°, γ = 90.00°
Space group Cmc2_1 (No. 36)
Asymmetric unit:
Pr 0.000 0.014 0.000
Pr 0.000 0.279 0.299
Pr 0.000 0.296 0.693
Pr 0.000 0.383 0.005
Pr 0.000 0.485 0.731
Dy 0.000 0.199 0.996
Y 0.000 0.406 0.451
Er 0.000 0.113 0.726
Er 0.000 0.114 0.288

=====

(3)
This entry pairs a crystal structure of Zr3Zn2Cu4 with its simulated powder XRD pattern. Radiation: λ = 1.5418 Å (Cu Kα). Structure: a crystal structure in Alexandria, relaxed with GGA-PBE.
Lines closer than 0.1° are merged.

Peak list (8 most intense, 2θ = 15–90°, low angle first)
d (Å)  Rel. int.
2.744  7.6
2.261  100.0
2.247  79.2
1.594  25.1
1.306  10.4
1.304  21.9
1.301  8.3
1.295  8.6

Atomic structure:
a = 7.825 Å, b = 4.525 Å, c = 8.231 Å
α = 90.00°, β = 90.12°, γ = 90.00°
Space group C2/m (No. 12)
Asymmetric unit:
Zr 0.000 0.000 0.000
Zr 0.167 0.500 0.599
Zn 0.166 0.500 0.230
Cu 0.001 0.000 0.655
Cu 0.166 0.500 0.925

=====

(4)
This entry pairs a crystal structure of Nd3SmTh2 with its simulated powder XRD pattern. Radiation: λ = 1.5418 Å (Cu Kα). Structure: a crystal structure in Alexandria, relaxed with GGA-PBE.
Lines closer than 0.1° are merged.

Peak list (8 most intense, 2θ = 15–90°, low angle first)
d (Å)  Rel. int.
2.967  100.0
2.586  17.3
2.561  33.6
1.820  24.6
1.557  14.9
1.546  28.9
1.483  12.6
1.181  12.1

Atomic structure:
a = 5.122 Å, b = 15.366 Å, c = 5.173 Å
α = 90.00°, β = 90.00°, γ = 90.00°
Space group Cmmm (No. 65)
Asymmetric unit:
Nd 0.000 0.000 0.000
Nd 0.000 0.169 0.500
Sm 0.000 0.500 0.500
Th 0.000 0.331 0.000

=====

(5)
This entry pairs a crystal structure of CaAcTb2Pr6 with its simulated powder XRD pattern. Radiation: λ = 1.5418 Å (Cu Kα). Structure: a crystal structure in Alexandria, relaxed with GGA-PBE.
Lines closer than 0.1° are merged.

Peak list (8 most intense, 2θ = 15–90°, low angle first)
d (Å)  Rel. int.
3.283  68.9
3.080  54.6
3.017  80.7
2.994  52.6
2.976  100.0
2.952  42.5
2.902  56.7
2.786  50.6

Atomic structure:
a = 9.376 Å, b = 15.811 Å, c = 10.114 Å
α = 90.00°, β = 97.31°, γ = 90.00°
Space group C2/c (No. 15)
Asymmetric unit:
Ca 0.000 0.096 0.250
Ac 0.000 0.474 0.750
Tb 0.246 0.055 0.956
Pr 0.062 0.319 0.448
Pr 0.104 0.106 0.621
Pr 0.206 0.267 0.824

=====

(6)
This entry pairs a crystal structure of Th6Tl2Fe with its simulated powder XRD pattern. Radiation: λ = 1.5418 Å (Cu Kα). Structure: a crystal structure in Alexandria, relaxed with GGA-PBE.
Lines closer than 0.1° are merged.

Peak list (8 most intense, 2θ = 15–90°, low angle first)
d (Å)  Rel. int.
2.935  100.0
2.553  19.7
2.536  38.8
1.799  28.2
1.793  14.0
1.538  14.9
1.530  29.3
1.468  14.5

Atomic structure:
a = 7.174 Å, b = 7.174 Å, c = 10.212 Å
α = 90.00°, β = 90.00°, γ = 90.00°
Space group I4/mmm (No. 139)
Asymmetric unit:
Th 0.000 0.000 0.242
Th 0.242 0.242 0.000
Tl 0.000 0.500 0.250
Fe 0.000 0.000 0.500